(1)
This entry pairs a crystal structure of Li2MnV3O8 with its computed powder XRD pattern. Radiation: Cu Kα (weighted mean of Kα1 and Kα2). Structure: a crystal structure in the Materials Project, relaxed with PBE+U.

Structural model:
a b c (Å): 5.941 5.943 10.350
angles (deg): 73.73 73.73 60.40
Atoms (fractional coordinates):
Li1 0.000 0.000 0.000
Li2 0.110 0.131 0.628
Li3 0.491 0.511 0.500
Li4 0.620 0.620 0.129
Mn1 0.056 0.065 0.314
Mn2 0.555 0.565 0.815
V1 0.054 0.566 0.315
V2 0.055 0.567 0.814
V3 0.312 0.307 0.064
V4 0.554 0.066 0.814
V5 0.555 0.066 0.314
V6 0.799 0.822 0.564
O1 0.148 0.720 0.428
O2 0.190 0.182 0.421
O3 0.208 0.658 0.929
O4 0.213 0.199 0.927
O5 0.410 0.961 0.201
O6 0.422 0.407 0.202
O7 0.438 0.431 0.707
O8 0.454 0.918 0.701
O9 0.657 0.212 0.928
O10 0.671 0.700 0.921
O11 0.688 0.724 0.427
O12 0.704 0.165 0.429
O13 0.896 0.933 0.702
O14 0.900 0.475 0.699
O15 0.920 0.949 0.207
O16 0.964 0.411 0.199

Top 8 peaks for 10° ≤ 2θ ≤ 80°, low angle first:
- 18.17°, I 1000
- 18.24°, I 811
- 35.13°, I 250
- 35.26°, I 358
- 42.72°, I 691
- 43.13°, I 339
- 62.12°, I 304
- 62.52°, I 204


(2)
This entry pairs a crystal structure of Li4Mn3V3W2O16 with its computed powder XRD pattern. Radiation: Cu Kα (weighted mean of Kα1 and Kα2). Structure: a crystal structure in the Materials Project, relaxed with PBE+U.

Structural model:
a b c (Å): 6.092 6.092 9.846
angles (deg): 91.11 91.11 60.14
Atoms (fractional coordinates):
Li1 0.000 0.000 0.000
Li2 0.001 0.001 0.499
Li3 0.347 0.347 0.078
Li4 0.678 0.678 0.582
Mn1 0.175 0.175 0.776
Mn2 0.345 0.836 0.279
Mn3 0.836 0.345 0.279
V1 0.171 0.664 0.771
V2 0.664 0.171 0.771
V3 0.832 0.832 0.263
W1 0.341 0.341 0.501
W2 0.670 0.670 0.998
O1 0.051 0.496 0.635
O2 0.175 0.652 0.398
O3 0.178 0.178 0.410
O4 0.351 0.351 0.877
O5 0.351 0.826 0.902
O6 0.486 0.486 0.637
O7 0.496 0.051 0.635
O8 0.533 0.533 0.130
O9 0.546 0.967 0.133
O10 0.652 0.175 0.398
O11 0.695 0.695 0.377
O12 0.826 0.351 0.902
O13 0.828 0.828 0.893
O14 0.967 0.546 0.133
O15 0.992 0.992 0.189
O16 0.999 0.999 0.686

Top 8 peaks for 10° ≤ 2θ ≤ 80°, low angle first:
- 18.96°, I 1000
- 19.16°, I 649
- 19.28°, I 328
- 29.30°, I 251
- 34.33°, I 269
- 34.58°, I 282
- 34.95°, I 292
- 35.07°, I 229


(3)
This entry pairs a crystal structure of Li2Mn3WO8 with its computed powder XRD pattern. Radiation: Cu Kα (weighted mean of Kα1 and Kα2). Structure: a crystal structure in the Materials Project, relaxed with PBE+U.

Structural model:
a b c (Å): 6.220 6.220 6.220
angles (deg): 58.67 58.67 58.67
Atoms (fractional coordinates):
Li1 0.135 0.135 0.135
Li2 0.865 0.865 0.865
Mn1 0.000 0.500 0.500
Mn2 0.500 0.000 0.500
Mn3 0.500 0.500 0.000
W1 0.500 0.500 0.500
O1 0.273 0.273 0.273
O2 0.274 0.274 0.723
O3 0.274 0.723 0.274
O4 0.277 0.726 0.726
O5 0.723 0.274 0.274
O6 0.726 0.277 0.726
O7 0.726 0.726 0.277
O8 0.727 0.727 0.727

Top 8 peaks for 10° ≤ 2θ ≤ 80°, low angle first:
- 17.77°, I 1000
- 20.41°, I 172
- 33.71°, I 213
- 34.23°, I 318
- 35.98°, I 132
- 41.50°, I 371
- 45.87°, I 120
- 54.84°, I 132